No. 1
Tb15Pr2Mg2: calculated powder X-ray diffraction pattern (copper Kα), based on a cell relaxed with PBE.
Neutral-atom scattering factors, no anomalous dispersion.

Largest 10 diffraction maxima, most intense first, 2θ = 10–90°:
two_theta	I_rel	h k l
31.65	100.0	0 3 3
35.53	67.9	2 2 3
31.76	40.1	2 2 0
15.73	39.4	1 1 0
31.33	37.4	0 0 6
31.91	29.0	2 0 5
56.61	28.5	6 0 0
51.20	17.1	3 3 3
27.71	16.7	0 2 4
55.97	14.9	0 3 9

Atomic structure:
a b c (Å): 11.2702 11.2702 17.1311
angles (deg): 90.00 90.00 120.00
Space group R-3m (No. 166, hexagonal axes)
Asymmetric unit:
Tb 0.0000 0.2950 0.0000 (multiplicity 18)
Tb 0.0000 0.5000 0.5000 (multiplicity 9)
Tb 0.0065 0.5033 0.1424 (multiplicity 18)
Pr 0.0000 0.0000 0.3262 (multiplicity 6)
Mg 0.0000 0.0000 0.0933 (multiplicity 6)

No. 2
Tb2PrMg2: calculated powder X-ray diffraction pattern (copper Kα), based on a cell relaxed with PBE.
Neutral-atom scattering factors, no anomalous dispersion.

Largest 10 diffraction maxima, most intense first, 2θ = 10–90°:
two_theta	I_rel	h k l
32.77	100.0	1 1 2
24.93	28.9	0 1 3
32.38	27.4	0 2 0
31.88	22.4	0 0 5
23.66	19.8	1 0 -1
58.00	19.5	1 3 2
46.08	16.1	0 2 5
20.45	13.4	0 1 2
57.38	12.2	1 1 7
54.60	10.9	1 2 -6

Atomic structure:
a b c (Å): 3.794 5.530 14.163
angles (deg): 90.00 97.72 90.00
Space group P2_1/m (No. 11)
Asymmetric unit:
Tb 0.045 0.250 0.090 (multiplicity 2)
Tb 0.237 0.250 0.475 (multiplicity 2)
Pr 0.151 0.750 0.300 (multiplicity 2)
Mg 0.359 0.750 0.719 (multiplicity 2)
Mg 0.450 0.250 0.899 (multiplicity 2)

No. 3
Tb3Pr3Mg2: calculated powder X-ray diffraction pattern (copper Kα), based on a cell relaxed with PBE.
Neutral-atom scattering factors, no anomalous dispersion.

Largest 10 diffraction maxima, most intense first, 2θ = 10–90°:
two_theta	I_rel	h k l
28.88	100.0	1 1 4
30.10	71.0	1 3 2
32.69	58.4	1 3 3
33.07	56.2	2 0 0
33.58	33.6	1 1 5
32.12	32.3	0 4 2
58.79	31.6	1 5 7
18.85	28.4	1 1 1
27.87	23.8	1 3 0
46.77	22.8	2 4 2

Atomic structure:
a b c (Å): 5.417 11.907 15.872
angles (deg): 90.00 90.00 90.00
Space group Cmcm (No. 63)
Asymmetric unit:
Tb 0.000 0.025 0.250 (multiplicity 4)
Tb 0.000 0.145 0.534 (multiplicity 8)
Pr 0.000 0.249 0.750 (multiplicity 4)
Pr 0.000 0.463 0.605 (multiplicity 8)
Mg 0.000 0.269 0.144 (multiplicity 8)

No. 4
TbPr5Mg5: calculated powder X-ray diffraction pattern (copper Kα), based on a cell relaxed with PBE.
Neutral-atom scattering factors, no anomalous dispersion.

Largest 10 diffraction maxima, most intense first, 2θ = 10–90°:
two_theta	I_rel	h k l
34.20	100.0	1 1 2
21.62	92.8	3 1 0
30.11	50.6	0 2 0
26.18	41.5	2 0 -2
40.31	27.6	2 2 -2
56.13	24.0	1 3 2
31.40	22.1	6 0 0
29.23	19.9	6 0 -1
44.06	19.3	6 2 0
28.89	15.7	3 1 1

Atomic structure:
a b c (Å): 18.388 5.936 6.809
angles (deg): 90.00 111.65 90.00
Space group C2/m (No. 12)
Asymmetric unit:
Tb 0.000 0.000 0.000 (multiplicity 2)
Pr 0.000 0.000 0.500 (multiplicity 2)
Pr 0.133 0.500 0.634 (multiplicity 4)
Pr 0.185 0.500 0.185 (multiplicity 4)
Mg 0.000 0.500 0.000 (multiplicity 2)
Mg 0.167 0.000 0.399 (multiplicity 4)
Mg 0.167 0.000 0.935 (multiplicity 4)

No. 5
Tb3Pr2Mg3: calculated powder X-ray diffraction pattern (copper Kα), based on a cell relaxed with PBE.
Neutral-atom scattering factors, no anomalous dispersion.

Largest 10 diffraction maxima, most intense first, 2θ = 10–90°:
two_theta	I_rel	h k l
32.51	100.0	1 1 4
25.50	32.2	0 1 5
32.73	26.3	0 2 0
23.43	22.7	1 0 1
31.54	22.0	0 0 8
58.27	20.3	1 3 4
46.09	15.4	0 2 8
20.03	12.4	0 1 3
42.87	12.1	1 0 9
54.96	11.7	1 2 9

Atomic structure:
a b c (Å): 3.852 5.473 22.693
angles (deg): 90.00 90.00 90.00
Space group Immm (No. 71)
Asymmetric unit:
Tb 0.000 0.000 0.000 (multiplicity 2)
Tb 0.000 0.500 0.121 (multiplicity 4)
Pr 0.000 0.000 0.233 (multiplicity 4)
Mg 0.000 0.000 0.500 (multiplicity 2)
Mg 0.000 0.500 0.387 (multiplicity 4)

No. 6
Tb6Pr5Mg2: calculated powder X-ray diffraction pattern (copper Kα), based on a cell relaxed with PBE.
Neutral-atom scattering factors, no anomalous dispersion.

Largest 10 diffraction maxima, most intense first, 2θ = 10–90°:
two_theta	I_rel	h k l
27.83	100.0	3 3 0
32.36	96.1	2 3 1
31.53	88.9	0 8 0
32.07	81.0	3 5 0
29.45	79.2	0 4 1
34.03	50.5	2 4 1
27.39	45.8	1 2 1
36.12	45.4	2 5 1
35.86	44.2	3 1 1
51.25	40.5	3 9 1

Atomic structure:
a b c (Å): 10.617 22.697 3.588
angles (deg): 90.00 90.00 90.00
Space group Pbam (No. 55)
Asymmetric unit:
Tb 0.019 0.114 0.000 (multiplicity 4)
Tb 0.144 0.382 0.000 (multiplicity 4)
Tb 0.169 0.635 0.500 (multiplicity 4)
Pr 0.000 0.500 0.500 (multiplicity 2)
Pr 0.081 0.249 0.500 (multiplicity 4)
Pr 0.168 0.994 0.500 (multiplicity 4)
Mg 0.168 0.762 0.000 (multiplicity 4)

No. 7
TbPr2Mg9: calculated powder X-ray diffraction pattern (copper Kα), based on a cell relaxed with PBE.
Neutral-atom scattering factors, no anomalous dispersion.

Largest 10 diffraction maxima, most intense first, 2θ = 10–90°:
two_theta	I_rel	h k l
34.61	100.0	1 1 6
27.01	83.7	1 0 7
29.34	76.5	1 1 0
17.08	72.0	1 0 1
29.47	49.8	0 1 8
34.15	41.3	0 2 1
55.48	41.2	3 0 6
52.09	35.2	3 0 0
50.63	29.3	2 1 7
17.94	28.3	0 0 6

Atomic structure:
a b c (Å): 6.0872 6.0872 29.6386
angles (deg): 90.00 90.00 120.00
Space group R-3m (No. 166, hexagonal axes)
Asymmetric unit:
Tb 0.0000 0.0000 0.0000 (multiplicity 3)
Pr 0.0000 0.0000 0.1416 (multiplicity 6)
Mg 0.0000 0.0000 0.3339 (multiplicity 6)
Mg 0.0000 0.0000 0.5000 (multiplicity 3)
Mg 0.0028 0.5014 0.9175 (multiplicity 18)

No. 8
Tb3Pr7Mg: calculated powder X-ray diffraction pattern (copper Kα), based on a cell relaxed with PBE.
Neutral-atom scattering factors, no anomalous dispersion.

Largest 10 diffraction maxima, most intense first, 2θ = 10–90°:
two_theta	I_rel	h k l
30.48	100.0	0 2 1
35.40	67.0	2 0 2
30.67	32.5	0 0 3
60.52	28.1	2 2 3
50.80	23.9	2 2 0
51.05	23.7	0 2 4
17.49	15.7	1 0 1
60.40	14.2	4 0 1
60.74	13.9	2 0 5
63.43	12.2	0 4 2

Atomic structure:
a b c (Å): 7.1895 7.1895 8.7442
angles (deg): 90.00 90.00 120.00
Space group P3m1 (No. 156)
Asymmetric unit:
Tb 0.0019 0.5009 0.0000 (multiplicity 3)
Pr 0.1683 0.3367 0.3298 (multiplicity 3)
Pr 0.3333 0.6667 0.6666 (multiplicity 1)
Pr 0.3341 0.1671 0.6697 (multiplicity 3)
Mg 0.6667 0.3333 0.3321 (multiplicity 1)

No. 9
Tb12Pr6Mg: calculated powder X-ray diffraction pattern (copper Kα), based on a cell relaxed with PBE.
Neutral-atom scattering factors, no anomalous dispersion.

Largest 10 diffraction maxima, most intense first, 2θ = 10–90°:
two_theta	I_rel	h k l
31.46	100.0	1 3 1
32.80	71.7	3 -1 4
30.77	39.3	0 1 5
31.23	26.7	0 3 3
33.13	24.4	4 -1 2
54.90	17.4	5 2 0
23.00	15.6	1 1 3
44.79	15.0	5 -2 4
34.68	14.7	2 2 3
23.30	14.2	2 1 1

Atomic structure:
a b c (Å): 12.0551 12.0551 15.1265
angles (deg): 90.00 90.00 120.00
Space group R-3 (No. 148, hexagonal axes)
Asymmetric unit:
Tb 0.0015 0.1730 0.3122 (multiplicity 18)
Tb 0.0473 0.8527 0.9161 (multiplicity 18)
Pr 0.0136 0.4218 0.1851 (multiplicity 18)
Mg 0.0000 0.0000 0.5000 (multiplicity 3)

No. 10
Tb2Pr8Mg: calculated powder X-ray diffraction pattern (copper Kα), based on a cell relaxed with PBE.
Neutral-atom scattering factors, no anomalous dispersion.

Largest 10 diffraction maxima, most intense first, 2θ = 10–90°:
two_theta	I_rel	h k l
31.81	100.0	1 2 3
30.08	37.3	1 0 5
31.31	34.4	2 0 0
56.04	20.0	3 2 3
25.06	19.9	0 2 2
58.37	16.7	2 2 8
30.85	16.0	0 0 6
47.94	15.1	0 2 8
28.22	14.3	1 1 4
56.53	12.2	1 4 5

Atomic structure:
a b c (Å): 5.714 7.788 17.387
angles (deg): 90.00 90.00 90.00
Space group Immm (No. 71)
Asymmetric unit:
Tb 0.000 0.000 0.195 (multiplicity 4)
Pr 0.000 0.234 0.000 (multiplicity 4)
Pr 0.000 0.282 0.365 (multiplicity 8)
Pr 0.000 0.500 0.175 (multiplicity 4)
Mg 0.000 0.000 0.500 (multiplicity 2)

No. 11
Tb2Pr8Mg: calculated powder X-ray diffraction pattern (copper Kα), based on a cell relaxed with PBE.
Neutral-atom scattering factors, no anomalous dispersion.

Largest 10 diffraction maxima, most intense first, 2θ = 10–90°:
two_theta	I_rel	h k l
30.00	100.0	1 1 2
34.73	34.1	0 2 0
50.00	18.1	6 2 1
34.86	16.7	6 0 1
59.29	14.4	1 3 2
59.53	14.3	11 1 0
59.42	14.2	9 1 -4
62.34	12.4	2 2 4
49.94	12.1	4 2 -3
81.20	8.7	7 3 3

Atomic structure:
a b c (Å): 18.554 5.173 8.160
angles (deg): 90.00 105.29 90.00
Space group C2/m (No. 12)
Asymmetric unit:
Tb 0.226 0.000 0.134 (multiplicity 4)
Pr 0.046 0.000 0.225 (multiplicity 4)
Pr 0.091 0.500 0.949 (multiplicity 4)
Pr 0.137 0.000 0.683 (multiplicity 4)
Pr 0.181 0.500 0.410 (multiplicity 4)
Mg 0.000 0.500 0.500 (multiplicity 2)

No. 12
TbPr2Y2Mg: calculated powder X-ray diffraction pattern (copper Kα), based on a cell relaxed with PBE.
Neutral-atom scattering factors, no anomalous dispersion.

Largest 10 diffraction maxima, most intense first, 2θ = 10–90°:
two_theta	I_rel	h k l
29.84	100.0	2 1 1
34.39	88.7	0 4 2
39.02	72.4	2 5 1
30.20	68.7	0 6 0
13.79	62.3	1 1 0
29.48	49.8	0 2 2
32.91	38.7	2 4 0
38.24	32.6	2 0 2
27.78	32.1	2 2 0
55.51	30.7	2 9 1

Atomic structure:
a b c (Å): 6.889 17.757 6.446
angles (deg): 90.00 90.00 90.00
Space group Ibam (No. 72)
Asymmetric unit:
Tb 0.000 0.000 0.250 (multiplicity 4)
Pr 0.164 0.152 0.000 (multiplicity 8)
Y 0.156 0.349 0.000 (multiplicity 8)
Mg 0.000 0.500 0.250 (multiplicity 4)

No. 13
Pr4MgTe3: calculated powder X-ray diffraction pattern (copper Kα), based on a cell relaxed with PBE.
Neutral-atom scattering factors, no anomalous dispersion.

Largest 10 diffraction maxima, most intense first, 2θ = 10–90°:
two_theta	I_rel	h k l
27.81	100.0	2 0 1
39.74	51.0	2 4 1
65.01	23.6	2 8 1
48.45	14.4	4 4 0
38.85	13.6	4 0 0
49.94	13.2	0 4 2
57.46	12.9	0 8 0
40.62	12.0	0 0 2
70.95	9.2	6 4 1
73.31	8.3	2 4 3

Atomic structure:
a b c (Å): 9.271 12.832 4.442
angles (deg): 90.00 90.00 90.00
Space group Cmmm (No. 65)
Asymmetric unit:
Pr 0.000 0.248 0.000 (multiplicity 4)
Pr 0.245 0.000 0.500 (multiplicity 4)
Mg 0.000 0.500 0.000 (multiplicity 2)
Te 0.000 0.000 0.000 (multiplicity 2)
Te 0.250 0.250 0.500 (multiplicity 4)